Structure and computed XRD peak list of GdAl3Pb2O8 (a crystal structure in the Materials Project, relaxed with GGA-PBE; λ = 1.5418 Å (Cu Kα)).
Neutral-atom scattering factors, no anomalous dispersion.

Peak list (12 most intense, 10 to 80 degrees two-theta, by intensity)
| two_theta | I_rel | hkl |
| --- | --- | --- |
| 27.9 | 100 | 2 2 1 |
| 29.5 | 76 | 3 1 0 |
| 13.1 | 72 | 1 1 0 |
| 31.0 | 68 | 3 1 1 |
| 39.9 | 46 | 3 3 0 |
| 54.2 | 40 | 4 4 0 |
| 49.4 | 37 | 5 1 1 |
| 48.5 | 29 | 5 1 0 |
| 55.1 | 25 | 5 2 2 |
| 56.0 | 22 | 4 3 3 |
| 38.8 | 22 | 3 2 2 |
| 18.5 | 20 | 2 0 0 |

Cell and atoms:
Cell: 9.578 9.578 9.578 Å, 90.00 90.00 90.00°
Sites, in units of the cell vectors:
Gd1 0.000 0.000 0.000
Gd2 0.000 0.500 0.500
Gd3 0.500 0.000 0.500
Gd4 0.500 0.500 0.000
Al1 0.000 0.250 0.750
Al2 0.000 0.750 0.250
Al3 0.250 0.000 0.750
Al4 0.250 0.500 0.750
Al5 0.250 0.750 0.000
Al6 0.250 0.750 0.500
Al7 0.500 0.250 0.750
Al8 0.500 0.750 0.250
Al9 0.750 0.000 0.250
Al10 0.750 0.250 0.000
Al11 0.750 0.250 0.500
Al12 0.750 0.500 0.250
Pb1 0.117 0.117 0.383
Pb2 0.117 0.383 0.117
Pb3 0.383 0.117 0.117
Pb4 0.383 0.383 0.383
Pb5 0.617 0.617 0.617
Pb6 0.617 0.883 0.883
Pb7 0.883 0.617 0.883
Pb8 0.883 0.883 0.617
O1 0.092 0.092 0.764
O2 0.092 0.408 0.736
O3 0.092 0.736 0.408
O4 0.092 0.764 0.092
O5 0.138 0.138 0.138
O6 0.138 0.362 0.362
O7 0.236 0.592 0.592
O8 0.236 0.908 0.908
O9 0.264 0.592 0.908
O10 0.264 0.908 0.592
O11 0.362 0.138 0.362
O12 0.362 0.362 0.138
O13 0.408 0.092 0.736
O14 0.408 0.408 0.764
O15 0.408 0.736 0.092
O16 0.408 0.764 0.408
O17 0.592 0.236 0.592
O18 0.592 0.264 0.908
O19 0.592 0.592 0.236
O20 0.592 0.908 0.264
O21 0.638 0.638 0.862
O22 0.638 0.862 0.638
O23 0.736 0.092 0.408
O24 0.736 0.408 0.092
O25 0.764 0.092 0.092
O26 0.764 0.408 0.408
O27 0.862 0.638 0.638
O28 0.862 0.862 0.862
O29 0.908 0.236 0.908
O30 0.908 0.264 0.592
O31 0.908 0.592 0.264
O32 0.908 0.908 0.236